Entry 1:
The following is a calculated powder diffractogram of Ba2ZrC8O19. It was derived from a crystal structure in the Materials Project, relaxed with PBE, using Cu Kα (weighted mean of Kα1 and Kα2).

The 10 most intense peaks (5° ≤ 2θ ≤ 70°), low angle first:
h k l  Position (°2θ)  I (rel.)
1 -1 1  13.1  15
0 1 -2  13.8  100
1 0 1  14.1  50
1 0 2  18.5  16
-2 1 2  22.0  30
2 -2 0  23.5  16
-1 2 2  24.6  23
2 1 -3  29.6  11
1 1 3  30.2  12
2 2 -2  36.6  15

Atomic structure:
```
Ba2ZrC8O19
1.0
8.868 0.000 0.000
-3.768 8.402 0.000
-2.523 -4.195 14.828
Ba Zr C O
4 2 16 38
Direct
0.024 0.275 0.053
0.234 0.984 0.470
0.766 0.016 0.530
0.976 0.725 0.947
0.387 0.635 0.771
0.613 0.365 0.229
0.153 0.482 0.887
0.216 0.299 0.627
0.233 0.789 0.644
0.264 0.095 0.114
0.274 0.399 0.894
0.378 0.005 0.107
0.411 0.353 0.643
0.411 0.826 0.627
0.589 0.174 0.373
0.589 0.647 0.357
0.622 0.995 0.893
0.726 0.601 0.106
0.736 0.905 0.886
0.767 0.211 0.356
0.784 0.701 0.373
0.847 0.518 0.113
0.026 0.436 0.918
0.106 0.017 0.083
0.112 0.164 0.570
0.121 0.379 0.256
0.143 0.842 0.603
0.174 0.399 0.674
0.197 0.601 0.849
0.197 0.704 0.701
0.218 0.976 0.873
0.251 0.296 0.938
0.311 0.858 0.064
0.343 0.606 0.126
0.345 0.253 0.152
0.390 0.453 0.851
0.457 0.904 0.570
0.460 0.260 0.600
0.464 0.898 0.850
0.496 0.505 0.300
0.500 0.227 0.327
0.500 0.773 0.673
0.504 0.495 0.700
0.536 0.102 0.150
0.540 0.740 0.400
0.543 0.096 0.430
0.610 0.547 0.149
0.655 0.747 0.848
0.657 0.394 0.874
0.689 0.142 0.936
0.749 0.704 0.062
0.782 0.024 0.127
0.803 0.296 0.299
0.803 0.399 0.151
0.826 0.601 0.326
0.857 0.158 0.397
0.879 0.621 0.744
0.888 0.836 0.430
0.894 0.983 0.917
0.974 0.564 0.082
```

Entry 2:
The following is a calculated powder diffractogram of Nd2MgSe4. It was derived from a crystal structure in the Materials Project, relaxed with PBE, using Cu Kα (weighted mean of Kα1 and Kα2).

The 10 most intense peaks (5° ≤ 2θ ≤ 70°), low angle first:
h k l  Position (°2θ)  I (rel.)
2 1 1  18.2  18
2 0 3  23.5  39
2 0 4  29.3  47
3 2 1  30.2  100
3 2 2  32.3  68
1 2 5  40.3  44
5 2 2  42.1  30
0 4 0  44.5  29
6 0 3  44.7  59
6 4 3  64.9  22

Atomic structure:
```
Nd2MgSe4
1.0
13.605 0.000 0.000
0.000 8.147 0.000
0.000 0.000 13.649
Nd Mg Se
16 8 32
Direct
0.108 0.115 0.000
0.127 0.616 0.641
0.134 0.369 0.308
0.135 0.869 0.309
0.365 0.869 0.809
0.366 0.369 0.808
0.373 0.616 0.141
0.392 0.115 0.500
0.608 0.885 0.000
0.627 0.384 0.641
0.634 0.631 0.308
0.635 0.131 0.309
0.865 0.131 0.809
0.866 0.631 0.808
0.873 0.384 0.141
0.892 0.885 0.500
0.112 0.615 0.008
0.126 0.120 0.635
0.374 0.120 0.135
0.388 0.615 0.508
0.612 0.385 0.008
0.626 0.880 0.635
0.874 0.880 0.135
0.888 0.385 0.508
0.011 0.118 0.195
0.026 0.626 0.183
0.029 0.617 0.444
0.047 0.125 0.454
0.209 0.118 0.812
0.210 0.618 0.838
0.232 0.866 0.089
0.233 0.363 0.092
0.267 0.363 0.592
0.268 0.866 0.589
0.290 0.618 0.338
0.291 0.118 0.312
0.453 0.125 0.954
0.471 0.617 0.944
0.474 0.626 0.683
0.489 0.118 0.695
0.511 0.882 0.195
0.526 0.374 0.183
0.529 0.383 0.444
0.547 0.875 0.454
0.709 0.882 0.812
0.710 0.382 0.838
0.732 0.134 0.089
0.733 0.637 0.092
0.767 0.637 0.592
0.768 0.134 0.589
0.790 0.382 0.338
0.791 0.882 0.312
0.953 0.875 0.954
0.971 0.383 0.944
0.974 0.374 0.683
0.989 0.882 0.695
```